The following is a simulated powder diffractogram of Cd5In3Hg. It was derived from the GGA-PBE geometry in Alexandria, using Cu Kα (weighted mean of Kα1 and Kα2).

Atomic structure:
Cell: 8.4680 8.4680 13.4402 Å, 90.00 90.00 90.00°
Space group I4/mcm (No. 140)
Asymmetric unit:
Cd 0.0000 0.0000 0.0000 x4
Cd 0.2065 0.2935 0.1444 x16
In 0.0000 0.0000 0.2500 x4
In 0.1183 0.3817 0.5000 x8
Hg 0.0000 0.5000 0.2500 x4

Main lines, in order of rising 2θ (2θ = 10–90°):
hkl 2 2 0, 2θ = 29.8°, I 66; hkl 2 1 3, 2θ = 30.9°, I 55; hkl 2 2 2, 2θ = 32.7°, I 14; hkl 2 0 4, 2θ = 34.1°, I 100; hkl 3 1 2, 2θ = 36.1°, I 21; hkl 3 2 1, 2θ = 38.9°, I 18; hkl 4 0 2, 2θ = 44.9°, I 17; hkl 2 0 6, 2θ = 45.8°, I 14; hkl 3 1 6, 2θ = 53.3°, I 12; hkl 4 2 4, 2θ = 55.7°, I 25



The following is a simulated powder diffractogram of CdIn17Hg11. It was derived from the GGA-PBE geometry in Alexandria, using Cu Kα (weighted mean of Kα1 and Kα2).

Atomic structure:
Cell: 8.5715 8.7744 11.2953 Å, 81.90 81.49 68.66°
Space group P1 (No. 1)
Asymmetric unit:
Cd 0.0000 0.0000 0.0000 x1
In 0.0145 0.7787 0.3048 x1
In 0.0960 0.3224 0.0272 x1
In 0.1148 0.9259 0.7074 x1
In 0.1355 0.4733 0.5355 x1
In 0.1907 0.0465 0.2812 x1
In 0.2338 0.6377 0.0529 x1
In 0.2523 0.5306 0.7997 x1
In 0.3513 0.1631 0.7295 x1
In 0.3871 0.9383 0.0103 x1
In 0.5623 0.3350 0.4282 x1
In 0.6180 0.9345 0.2346 x1
In 0.6218 0.3872 0.6849 x1
In 0.6650 0.4882 0.9868 x1
In 0.7023 0.6721 0.5010 x1
In 0.7139 0.0283 0.8264 x1
In 0.8700 0.4898 0.2656 x1
In 0.8732 0.6615 0.7481 x1
Hg 0.2744 0.3697 0.2728 x1
Hg 0.3116 0.7268 0.4934 x1
Hg 0.4199 0.0418 0.4838 x1
Hg 0.4781 0.6469 0.2311 x1
Hg 0.4857 0.7589 0.7765 x1
Hg 0.4955 0.2374 0.0314 x1
Hg 0.8017 0.1811 0.2119 x1
Hg 0.8112 0.9649 0.5363 x1
Hg 0.8425 0.7309 0.0229 x1
Hg 0.9549 0.2813 0.7964 x1
Hg 0.9706 0.2289 0.5045 x1

Main lines, in order of rising 2θ (2θ = 10–90°):
hkl -1 1 3, 2θ = 30.4°, I 36; hkl 2 -1 2, 2θ = 31.9°, I 52; hkl 0 0 4, 2θ = 32.2°, I 58; hkl 3 2 1, 2θ = 32.9°, I 57; hkl 1 3 -1, 2θ = 33.0°, I 100; hkl -2 1 2, 2θ = 33.3°, I 41; hkl 3 2 2, 2θ = 34.5°, I 19; hkl 1 3 3, 2θ = 36.6°, I 46; hkl 2 -2 0, 2θ = 36.8°, I 20; hkl 3 2 -3, 2θ = 44.9°, I 29



The following is a simulated powder diffractogram of CdIn8Hg3. It was derived from the GGA-PBE geometry in Alexandria, using Cu Kα (weighted mean of Kα1 and Kα2).

Atomic structure:
Cell: 9.8310 10.1905 13.7255 Å, 90.00 90.00 90.00°
Space group Fmm2 (No. 42)
Asymmetric unit:
Cd 0.0000 0.0000 0.0000 x4
In 0.0000 0.2493 0.8781 x8
In 0.0000 0.2499 0.1211 x8
In 0.2494 0.0000 0.8710 x8
In 0.2500 0.0000 0.1282 x8
Hg 0.0000 0.0000 0.4992 x4
Hg 0.2500 0.2500 0.2496 x8

Main lines, in order of rising 2θ (2θ = 10–90°):
hkl 0 2 2, 2θ = 21.7°, I 24; hkl 2 0 2, 2θ = 22.2°, I 29; hkl 0 4 0, 2θ = 35.2°, I 22; hkl 4 0 0, 2θ = 36.5°, I 100; hkl 2 4 2, 2θ = 42.1°, I 11; hkl 4 2 2, 2θ = 42.9°, I 9; hkl 4 4 0, 2θ = 51.7°, I 15; hkl 2 6 4, 2θ = 64.0°, I 15; hkl 6 2 4, 2θ = 65.8°, I 14; hkl 4 4 8, 2θ = 77.5°, I 9



The following is a simulated powder diffractogram of Cd3In3Hg8. It was derived from the GGA-PBE geometry in Alexandria, using Cu Kα (weighted mean of Kα1 and Kα2).

Atomic structure:
Cell: 6.4588 7.6021 8.5000 Å, 87.05 67.77 89.88°
Space group P-1 (No. 2)
Asymmetric unit:
Cd 0.0000 0.0000 0.0000 x1
Cd 0.2509 0.4999 0.0000 x2
In 0.2501 0.5028 0.4996 x2
In 0.5000 0.0000 0.0000 x1
Hg 0.1050 0.2054 0.2907 x2
Hg 0.1100 0.7793 0.2733 x2
Hg 0.3831 0.2209 0.7263 x2
Hg 0.3928 0.7946 0.7096 x2

Main lines, in order of rising 2θ (2θ = 10–90°):
hkl 0 0 2, 2θ = 22.6°, I 24; hkl 2 0 1, 2θ = 27.6°, I 47; hkl 0 2 2, 2θ = 31.9°, I 100; hkl 2 -1 2, 2θ = 32.4°, I 22; hkl 0 2 -2, 2θ = 33.7°, I 54; hkl 0 3 0, 2θ = 35.5°, I 21; hkl 2 0 -1, 2θ = 36.0°, I 75; hkl 2 2 1, 2θ = 36.5°, I 69; hkl -2 2 1, 2θ = 42.7°, I 23; hkl 2 -3 1, 2θ = 45.5°, I 21



The following is a simulated powder diffractogram of Cd2In3Hg4. It was derived from the GGA-PBE geometry in Alexandria, using Cu Kα (weighted mean of Kα1 and Kα2).

Atomic structure:
Cell: 3.3121 3.3121 24.7266 Å, 90.00 90.00 120.00°
Space group P3m1 (No. 156)
Asymmetric unit:
Cd 0.0000 0.0000 0.0000 x1
Cd 0.0000 0.0000 0.2167 x1
In 0.0000 0.0000 0.7855 x1
In 0.3333 0.6667 0.1087 x1
In 0.3333 0.6667 0.4472 x1
Hg 0.0000 0.0000 0.3350 x1
Hg 0.0000 0.0000 0.5610 x1
Hg 0.3333 0.6667 0.6708 x1
Hg 0.3333 0.6667 0.8965 x1

Main lines, in order of rising 2θ (2θ = 10–90°):
hkl 1 0 0, 2θ = 31.2°, I 52; hkl 0 1 1, 2θ = 31.4°, I 18; hkl 0 0 9, 2θ = 32.6°, I 58; hkl 0 1 4, 2θ = 34.5°, I 98; hkl 1 0 5, 2θ = 36.2°, I 100; hkl 0 1 9, 2θ = 45.7°, I 35; hkl 1 1 0, 2θ = 55.5°, I 40; hkl 0 1 13, 2θ = 58.2°, I 18; hkl 1 0 14, 2θ = 61.7°, I 23; hkl 1 1 9, 2θ = 65.9°, I 46



The following is a simulated powder diffractogram of CdIn5Hg3. It was derived from the GGA-PBE geometry in Alexandria, using Cu Kα (weighted mean of Kα1 and Kα2).

Atomic structure:
Cell: 5.8967 6.5803 12.9086 Å, 89.68 90.00 89.92°
Space group P-1 (No. 2)
Asymmetric unit:
Cd 0.0000 0.0000 0.0000 x1
Cd 0.5000 0.0000 0.5000 x1
In 0.0000 0.5000 0.5000 x1
In 0.1394 0.7664 0.7025 x2
In 0.1426 0.2347 0.7017 x2
In 0.3581 0.7654 0.2027 x2
In 0.3599 0.2337 0.2015 x2
In 0.5000 0.5000 0.0000 x1
Hg 0.0000 0.0000 0.5000 x1
Hg 0.0508 0.4966 0.8890 x2
Hg 0.4493 0.4946 0.3890 x2
Hg 0.5000 0.0000 0.0000 x1

Main lines, in order of rising 2θ (2θ = 10–90°):
hkl 1 -1 1, 2θ = 21.4°, I 81; hkl 2 0 0, 2θ = 30.3°, I 54; hkl 0 2 2, 2θ = 30.4°, I 91; hkl 0 2 -2, 2θ = 30.6°, I 100; hkl 2 0 1, 2θ = 31.1°, I 82; hkl 2 0 2, 2θ = 33.4°, I 62; hkl -1 2 3, 2θ = 37.6°, I 57; hkl 1 -2 3, 2θ = 37.7°, I 51; hkl 1 0 5, 2θ = 38.0°, I 100; hkl 2 2 0, 2θ = 41.1°, I 85



The following is a simulated powder diffractogram of Cd4InHg7. It was derived from the GGA-PBE geometry in Alexandria, using Cu Kα (weighted mean of Kα1 and Kα2).

Atomic structure:
Cell: 14.5046 3.4387 13.8403 Å, 90.00 117.48 90.00°
Space group Cm (No. 8)
Asymmetric unit:
Cd 0.0000 0.0000 0.0000 x2
Cd 0.1119 0.5000 0.8301 x2
Cd 0.2389 0.5000 0.5282 x2
Cd 0.3858 0.0000 0.2182 x2
In 0.0285 0.0000 0.4438 x2
Hg 0.0752 0.0000 0.2411 x2
Hg 0.1928 0.5000 0.0778 x2
Hg 0.1963 0.0000 0.7006 x2
Hg 0.2793 0.5000 0.3368 x2
Hg 0.3165 0.0000 0.9664 x2
Hg 0.4087 0.5000 0.7627 x2
Hg 0.4461 0.0000 0.5809 x2

Main lines, in order of rising 2θ (2θ = 10–90°):
hkl 4 0 1, 2θ = 31.8°, I 18; hkl 3 1 -1, 2θ = 32.0°, I 100; hkl 3 1 -2, 2θ = 32.3°, I 27; hkl 2 0 -5, 2θ = 32.5°, I 56; hkl 3 1 -3, 2θ = 34.3°, I 21; hkl 1 1 3, 2θ = 36.8°, I 21; hkl 4 0 2, 2θ = 37.1°, I 23; hkl 6 0 -2, 2θ = 37.5°, I 31; hkl 1 1 4, 2θ = 42.4°, I 37; hkl 0 2 0, 2θ = 53.3°, I 20



The following is a simulated powder diffractogram of Cd4In19Hg6. It was derived from the GGA-PBE geometry in Alexandria, using Cu Kα (weighted mean of Kα1 and Kα2).

Atomic structure:
Cell: 10.0676 10.0781 10.1078 Å, 109.34 109.29 109.18°
Space group P1 (No. 1)
Asymmetric unit:
Cd 0.0000 0.0000 0.0000 x1
Cd 0.0000 0.3378 0.6610 x1
Cd 0.3398 0.6779 0.3396 x1
Cd 0.6625 0.3380 0.9997 x1
In 0.9998 0.0565 0.7189 x1
In 0.9998 0.6184 0.2797 x1
In 0.0063 0.1396 0.3433 x1
In 0.1977 0.5435 0.5423 x1
In 0.2050 0.8806 0.1974 x1
In 0.2792 0.6168 0.9996 x1
In 0.2797 0.3381 0.2799 x1
In 0.3374 0.1330 0.9936 x1
In 0.3443 0.3442 0.8017 x1
In 0.4580 0.0014 0.6565 x1
In 0.5429 0.5358 0.2051 x1
In 0.6565 0.7960 0.6636 x1
In 0.6635 0.9940 0.4578 x1
In 0.7174 0.0556 0.9994 x1
In 0.7183 0.3373 0.7177 x1
In 0.7944 0.3314 0.3362 x1
In 0.8012 0.6812 0.0056 x1
In 0.9929 0.6748 0.7943 x1
In 0.9990 0.3372 0.9993 x1
Hg 0.1419 0.9794 0.4993 x1
Hg 0.3569 0.8365 0.8570 x1
Hg 0.4994 0.1950 0.3576 x1
Hg 0.4988 0.4799 0.6406 x1
Hg 0.6409 0.8373 0.1423 x1
Hg 0.8574 0.6959 0.4995 x1

Main lines, in order of rising 2θ (2θ = 10–90°):
hkl 2 -2 1, 2θ = 24.2°, I 42; hkl 2 1 0, 2θ = 28.4°, I 45; hkl 1 2 -3, 2θ = 28.7°, I 67; hkl 2 2 -2, 2θ = 30.6°, I 100; hkl -1 2 2, 2θ = 32.4°, I 46; hkl 3 1 -2, 2θ = 32.6°, I 77; hkl 2 2 -4, 2θ = 37.9°, I 57; hkl 0 1 3, 2θ = 39.1°, I 48; hkl 0 4 -1, 2θ = 39.4°, I 56; hkl 4 0 -3, 2θ = 39.5°, I 51



The following is a simulated powder diffractogram of Cd4InHg12. It was derived from the GGA-PBE geometry in Alexandria, using Cu Kα (weighted mean of Kα1 and Kα2).

Atomic structure:
Cell: 6.2351 9.0798 9.4102 Å, 113.77 99.41 99.14°
Space group P-1 (No. 2)
Asymmetric unit:
Cd 0.0000 0.0000 0.0000 x1
Cd 0.0000 0.5000 0.5000 x1
Cd 0.5000 0.0000 0.5000 x1
Cd 0.5000 0.5000 0.0000 x1
In 0.0000 0.0000 0.5000 x1
Hg 0.0354 0.3330 0.0106 x2
Hg 0.1276 0.6776 0.3168 x2
Hg 0.2608 0.1883 0.3324 x2
Hg 0.3108 0.7911 0.8244 x2
Hg 0.3930 0.1319 0.8273 x2
Hg 0.4554 0.4665 0.6661 x2

Main lines, in order of rising 2θ (2θ = 10–90°):
hkl 1 2 -2, 2θ = 27.6°, I 54; hkl 1 0 2, 2θ = 29.1°, I 100; hkl 2 0 -1, 2θ = 29.2°, I 61; hkl 2 0 -2, 2θ = 32.2°, I 54; hkl 1 2 -3, 2θ = 32.4°, I 40; hkl 1 -3 0, 2θ = 33.0°, I 63; hkl -2 1 2, 2θ = 34.8°, I 35; hkl 0 2 2, 2θ = 37.3°, I 45; hkl 2 -3 2, 2θ = 41.3°, I 32; hkl 1 0 -4, 2θ = 42.2°, I 37



The following is a simulated powder diffractogram of Cd4InHg6. It was derived from the GGA-PBE geometry in Alexandria, using Cu Kα (weighted mean of Kα1 and Kα2).

Atomic structure:
Cell: 8.6891 8.8662 8.7134 Å, 90.00 119.72 90.00°
Space group Cm (No. 8)
Asymmetric unit:
Cd 0.0000 0.0000 0.0000 x2
Cd 0.0786 0.1738 0.5122 x4
Cd 0.1486 0.5000 0.0000 x2
In 0.4516 0.0000 0.2569 x2
Hg 0.2001 0.2501 0.2538 x4
Hg 0.2748 0.1983 0.9007 x4
Hg 0.3245 0.5000 0.6110 x2
Hg 0.4315 0.0000 0.6114 x2

Main lines, in order of rising 2θ (2θ = 10–90°):
hkl 0 2 1, 2θ = 23.3°, I 22; hkl 2 2 0, 2θ = 31.1°, I 100; hkl 2 2 -2, 2θ = 31.2°, I 60; hkl 1 3 -1, 2θ = 32.5°, I 56; hkl 1 1 2, 2θ = 32.9°, I 25; hkl 3 1 -2, 2θ = 33.1°, I 54; hkl 0 0 3, 2θ = 35.6°, I 42; hkl 2 2 1, 2θ = 37.5°, I 76; hkl 0 4 0, 2θ = 40.7°, I 24; hkl 4 0 -2, 2θ = 41.6°, I 22



The following is a simulated powder diffractogram of Cd11InHg. It was derived from the GGA-PBE geometry in Alexandria, using Cu Kα (weighted mean of Kα1 and Kα2).

Atomic structure:
Cell: 6.0711 14.3531 7.7766 Å, 90.00 112.19 90.00°
Space group C2/m (No. 12)
Asymmetric unit:
Cd 0.0000 0.0000 0.0000 x2
Cd 0.1064 0.3936 0.7121 x8
Cd 0.1683 0.1767 0.8511 x8
Cd 0.2500 0.2500 0.5000 x4
In 0.0000 0.0000 0.5000 x2
Hg 0.0000 0.5000 0.0000 x2

Main lines, in order of rising 2θ (2θ = 10–90°):
hkl 1 3 1, 2θ = 30.1°, I 30; hkl 2 2 0, 2θ = 34.3°, I 46; hkl 2 2 -2, 2θ = 34.6°, I 49; hkl 1 5 -1, 2θ = 35.1°, I 49; hkl 0 4 2, 2θ = 35.3°, I 100; hkl 2 0 1, 2θ = 38.5°, I 25; hkl 2 4 -1, 2θ = 38.9°, I 43; hkl 2 0 -3, 2θ = 39.1°, I 20; hkl 0 2 3, 2θ = 39.6°, I 41; hkl 0 6 1, 2θ = 39.7°, I 25



The following is a simulated powder diffractogram of Cd4In3Hg5. It was derived from the GGA-PBE geometry in Alexandria, using Cu Kα (weighted mean of Kα1 and Kα2).

Atomic structure:
Cell: 6.1487 6.3365 8.5192 Å, 77.81 77.72 73.47°
Space group P-1 (No. 2)
Asymmetric unit:
Cd 0.1429 0.2010 0.3432 x2
Cd 0.2787 0.3472 0.6549 x2
In 0.2453 0.0158 0.9983 x2
In 0.5000 0.5000 0.0000 x1
Hg 0.0000 0.5000 0.0000 x1
Hg 0.2160 0.6938 0.3328 x2
Hg 0.3499 0.8324 0.6600 x2

Main lines, in order of rising 2θ (2θ = 10–90°):
hkl 2 1 1, 2θ = 29.9°, I 34; hkl 2 1 0, 2θ = 30.6°, I 18; hkl 0 0 3, 2θ = 32.7°, I 100; hkl 0 2 -1, 2θ = 33.4°, I 90; hkl 0 2 2, 2θ = 34.1°, I 85; hkl 2 0 -1, 2θ = 34.3°, I 41; hkl 2 0 2, 2θ = 34.8°, I 37; hkl 2 2 1, 2θ = 35.9°, I 31; hkl -2 1 1, 2θ = 40.0°, I 18; hkl 0 2 -4, 2θ = 58.4°, I 18